Diffraction record for BaPr2Cu6. The powder diffraction line list is calculated, not measured: it uses a DFT-relaxed cell (PBE, Alexandria) and Cu Kα.

Atomic structure:
abc: 7.541 7.541 3.955
angles: 90.00 90.00 120.00
Sites, in units of the cell vectors:
Ba1 0.000 0.000 0.000
Pr1 0.333 0.667 0.000
Pr2 0.667 0.333 0.000
Cu1 0.000 0.340 0.500
Cu2 0.000 0.660 0.500
Cu3 0.340 0.000 0.500
Cu4 0.340 0.340 0.500
Cu5 0.660 0.000 0.500
Cu6 0.660 0.660 0.500

Most intense lines, 15° ≤ 2θ ≤ 90°, sorted by position:
d (Å)  I/Imax
3.771  127
2.729  1000
2.177  461
1.977  114
1.751  31
1.702  237
1.464  248
1.341  209
1.257  72
1.244  82